Entry 1:
Structure and calculated powder diffractogram of LiV4O8 (a PBE+U-relaxed structure; CuKα).
No peak broadening, texture or thermal motion is included.

Largest 12 diffraction maxima, in order of falling intensity, 10 to 90 degrees two-theta:
hkl 0 2 0, 19.1 deg, intensity 100
hkl 1 1 2, 34.7 deg, intensity 79
hkl 2 0 0, 30.9 deg, intensity 69
hkl 1 1 -2, 33.4 deg, intensity 59
hkl 0 2 1, 23.9 deg, intensity 48
hkl 1 1 -1, 22.5 deg, intensity 47
hkl 1 3 0, 32.8 deg, intensity 42
hkl 1 1 1, 23.5 deg, intensity 40
hkl 1 5 -2, 59.6 deg, intensity 33
hkl 1 1 0, 18.0 deg, intensity 25
hkl 1 5 2, 60.5 deg, intensity 22
hkl 1 3 -1, 35.5 deg, intensity 22

Structure:
```
data_LiV4O8
_cell_length_a 5.8033
_cell_length_b 9.3014
_cell_length_c 6.2422
_cell_angle_alpha 90.00
_cell_angle_beta 92.90
_cell_angle_gamma 90.00
_space_group_name_H-M_alt 'C 1 2 1'
_space_group_IT_number 5
_space_group_name_Hall 'C 2y'
loop_
_atom_site_label
_atom_site_fract_x
_atom_site_fract_y
_atom_site_fract_z
Li1 0.0000 0.0000 0.0000
V1 0.0000 0.5516 0.5000
V2 0.0000 0.7410 0.0000
V3 0.0056 0.2242 0.7326
O1 0.0083 0.8530 0.2091
O2 0.0122 0.4263 0.2819
O3 0.2089 0.1617 0.9910
O4 0.2220 0.1569 0.4906
```

Entry 2:
Structure and calculated powder diffractogram of V4O5F7 (a PBE+U-relaxed structure; CuKα).
No peak broadening, texture or thermal motion is included.

Largest 12 diffraction maxima, in order of falling intensity, 10 to 90 degrees two-theta:
hkl 1 -1 0, 23.7 deg, intensity 100
hkl 1 1 0, 23.3 deg, intensity 48
hkl 2 2 0, 47.6 deg, intensity 12
hkl 0 0 4, 48.3 deg, intensity 11
hkl 2 -2 0, 48.5 deg, intensity 10
hkl -1 1 2, 33.7 deg, intensity 9
hkl 1 1 4, 54.3 deg, intensity 8
hkl 1 1 -4, 54.4 deg, intensity 7
hkl 1 -1 1, 26.5 deg, intensity 6
hkl 1 1 2, 33.4 deg, intensity 6
hkl 2 2 -2, 53.9 deg, intensity 6
hkl 1 1 -2, 33.5 deg, intensity 6

Structure:
```
data_V4O5F7
_cell_length_a 5.3066
_cell_length_b 5.4011
_cell_length_c 7.5315
_cell_angle_alpha 89.93
_cell_angle_beta 89.77
_cell_angle_gamma 88.96
_space_group_name_H-M_alt 'P 1'
_space_group_IT_number 1
_space_group_name_Hall 'P 1'
loop_
_atom_site_label
_atom_site_fract_x
_atom_site_fract_y
_atom_site_fract_z
V1 0.0000 0.0000 0.0000
V2 0.0626 0.9408 0.4986
V3 0.5035 0.5027 0.9954
V4 0.5697 0.4412 0.5172
O1 0.2871 0.7236 0.5153
O2 0.2918 0.7347 0.9756
O3 0.5988 0.4844 0.7381
O4 0.7679 0.2115 0.0179
O5 0.7791 0.2133 0.4747
F1 0.1140 0.0088 0.2462
F2 0.2689 0.2322 0.9416
F3 0.2790 0.2306 0.5453
F4 0.4617 0.4483 0.2529
F5 0.7829 0.7106 0.4436
F6 0.7968 0.7070 0.0523
F7 0.9473 0.9329 0.7459
```